No. 1
Diffraction record for Rb3ErBr6. The X-ray diffraction stick pattern is theoretical, not measured: it uses a DFT-relaxed cell (GGA-PBE, Alexandria) and Cu Kα (weighted mean of Kα1 and Kα2).
Peak positions follow from Bragg's law for the DFT cell and can differ from measured ones.

Structural model:
```
20
Lattice="6.8938 3.9801 5.3851 -6.8938 3.9801 5.3851 0.0000 -7.9603 5.3851" Properties=species:S:1:pos:R:3 pbc="T T T"
Rb -3.4531 -3.4167 7.5438
Rb -4.6855 1.2821 8.6115
Rb 1.2325 -4.6988 8.6115
Rb -1.2325 4.6988 7.5438
Rb 4.6855 -1.2821 7.5438
Rb 3.4531 3.4168 8.6115
Er 0.0000 0.0000 0.0000
Er 0.0000 0.0000 8.0776
Br -6.0801 -1.8451 9.1599
Br -1.4421 -6.1880 6.9954
Br -2.3018 -0.2798 6.5031
Br -4.6379 4.3429 6.9954
Br 1.3932 -1.8535 6.5031
Br -0.9086 -2.1333 9.6522
Br 0.9086 2.1333 6.5031
Br -1.3932 1.8535 9.6522
Br 4.6379 -4.3429 9.1599
Br 2.3018 0.2798 9.6522
Br 1.4421 6.1880 9.1599
Br 6.0800 1.8451 6.9954
```

The 10 most intense peaks (2θ = 10–90°), in order of falling intensity:
| d [Å] | intensity |
| --- | --- |
| 3.010 | 100 |
| 3.064 | 72 |
| 6.690 | 65 |
| 4.801 | 48 |
| 2.606 | 43 |
| 6.894 | 42 |
| 4.347 | 34 |
| 2.231 | 30 |
| 2.122 | 29 |
| 3.940 | 29 |


No. 2
Diffraction record for Rb6Er3Br14. The X-ray diffraction stick pattern is theoretical, not measured: it uses a DFT-relaxed cell (GGA-PBE, Alexandria) and Cu Kα (weighted mean of Kα1 and Kα2).
Peak positions follow from Bragg's law for the DFT cell and can differ from measured ones.

Structural model:
```
23
Lattice="12.3364 0.0000 0.0000 -6.1682 10.6837 0.0000 0.0000 0.0000 7.5983" Properties=species:S:1:pos:R:3 pbc="T T T"
Rb -3.0583 6.1687 0.0000
Rb 3.2921 1.0980 3.4952
Rb 2.3551 4.9507 0.0000
Rb 0.7032 10.2478 0.0000
Rb 5.4731 7.2836 3.4952
Rb 9.7395 2.3020 3.4952
Er 0.0000 0.0000 6.7818
Er 0.0000 7.1224 3.5281
Er 6.1682 3.5612 6.1713
Br 0.0000 0.0000 1.8556
Br -4.2767 9.1845 5.7079
Br 0.3526 2.3876 5.7079
Br -0.4852 4.8448 2.0933
Br -1.7299 8.6815 2.0933
Br 0.0000 7.1224 6.1612
Br 4.3683 2.0786 0.1438
Br 4.0080 4.3451 4.5665
Br 2.2151 7.8411 2.0933
Br 6.5695 1.2985 4.5665
Br 5.7842 5.8614 0.1438
Br 3.9242 9.7952 5.7079
Br 8.3522 2.7437 0.1438
Br 7.9271 5.0401 4.5665
```

The 10 most intense peaks (2θ = 10–90°), in order of falling intensity:
| d [Å] | intensity |
| --- | --- |
| 6.178 | 100 |
| 3.568 | 87 |
| 2.334 | 56 |
| 3.228 | 53 |
| 2.764 | 44 |
| 4.370 | 44 |
| 3.096 | 40 |
| 4.789 | 29 |
| 3.084 | 27 |
| 2.063 | 26 |


No. 3
Diffraction record for Er3RuBr3. The X-ray diffraction stick pattern is theoretical, not measured: it uses a DFT-relaxed cell (GGA-PBE, Alexandria) and Cu Kα (weighted mean of Kα1 and Kα2).
Peak positions follow from Bragg's law for the DFT cell and can differ from measured ones.

Structural model:
```
14
Lattice="8.4518 0.0000 0.0000 0.0000 4.0699 0.0000 -0.3742 0.0000 11.8117" Properties=species:S:1:pos:R:3 pbc="T T T"
Er 0.7232 1.0175 3.8289
Er 0.9088 1.0175 10.1928
Er 2.2006 3.0524 1.2213
Er 5.8771 1.0175 10.5903
Er 7.1688 3.0524 1.6188
Er 7.3544 3.0524 7.9828
Ru 0.3902 1.0175 1.1149
Ru 7.6874 3.0524 10.6967
Br 0.8894 1.0175 7.0882
Br 2.7307 3.0524 4.2268
Br 3.3517 3.0524 10.2774
Br 4.7259 1.0175 1.5342
Br 5.3469 1.0175 7.5849
Br 7.1882 3.0524 4.7234
```

The 10 most intense peaks (2θ = 10–90°), in order of falling intensity:
| d [Å] | intensity |
| --- | --- |
| 2.931 | 100 |
| 8.448 | 97 |
| 2.953 | 54 |
| 2.831 | 43 |
| 2.103 | 41 |
| 2.316 | 35 |
| 2.035 | 32 |
| 1.676 | 25 |
| 2.649 | 21 |
| 2.760 | 20 |


No. 4
Diffraction record for ErS5Br. The X-ray diffraction stick pattern is theoretical, not measured: it uses a DFT-relaxed cell (GGA-PBE, Alexandria) and Cu Kα (weighted mean of Kα1 and Kα2).
Peak positions follow from Bragg's law for the DFT cell and can differ from measured ones.

Structural model:
```
7
Lattice="-2.3726 2.5972 7.8197 2.3726 -2.5972 7.8197 2.3726 2.5972 -7.8197" Properties=species:S:1:pos:R:3 pbc="T T T"
Er 0.0000 0.0000 0.0000
S 0.0000 0.0000 2.7581
S 2.3726 0.9922 2.9621
S 1.0180 2.5972 0.3065
S 1.3546 0.0000 8.1262
S 0.0000 1.6050 10.7818
Br 0.0000 2.5972 6.2008
```

The 10 most intense peaks (2θ = 10–90°), in order of falling intensity:
| d [Å] | intensity |
| --- | --- |
| 7.820 | 100 |
| 2.609 | 77 |
| 4.930 | 73 |
| 3.509 | 69 |
| 2.138 | 46 |
| 1.841 | 37 |
| 2.090 | 36 |
| 3.197 | 34 |
| 2.465 | 28 |
| 3.910 | 22 |


No. 5
Diffraction record for ErSeBr. The X-ray diffraction stick pattern is theoretical, not measured: it uses a DFT-relaxed cell (GGA-PBE, Alexandria) and Cu Kα (weighted mean of Kα1 and Kα2).
Peak positions follow from Bragg's law for the DFT cell and can differ from measured ones.

Structural model:
```
12
Lattice="8.2938 0.0000 0.0000 0.0000 8.2938 0.0000 0.0000 0.0000 5.6532" Properties=species:S:1:pos:R:3 pbc="T T T"
Er 0.0000 2.0982 0.0000
Er 0.0000 6.1956 0.0000
Er 2.0982 0.0000 2.8266
Er 6.1956 0.0000 2.8266
Se 0.0000 1.9481 2.8266
Se 0.0000 6.3457 2.8266
Se 1.9481 0.0000 0.0000
Se 6.3457 0.0000 0.0000
Br 1.9067 4.1469 0.0000
Br 4.1469 1.9067 2.8266
Br 4.1469 6.3871 2.8266
Br 6.3871 4.1469 0.0000
```

The 10 most intense peaks (2θ = 10–90°), in order of falling intensity:
| d [Å] | intensity |
| --- | --- |
| 2.932 | 100 |
| 8.294 | 86 |
| 2.035 | 70 |
| 4.671 | 54 |
| 2.827 | 46 |
| 1.672 | 37 |
| 2.073 | 36 |
| 3.101 | 23 |
| 1.190 | 22 |
| 2.131 | 20 |


No. 6
Diffraction record for Er3SiBr3. The X-ray diffraction stick pattern is theoretical, not measured: it uses a DFT-relaxed cell (GGA-PBE, Alexandria) and Cu Kα (weighted mean of Kα1 and Kα2).
Peak positions follow from Bragg's law for the DFT cell and can differ from measured ones.

Structural model:
```
28
Lattice="-5.7534 5.7534 5.7534 5.7534 -5.7534 5.7534 5.7534 5.7534 -5.7534" Properties=species:S:1:pos:R:3 pbc="T T T"
Er 1.5915 1.4384 -1.2852
Er 7.0386 1.5915 -1.4384
Er 1.4384 -1.2852 1.5915
Er 4.4682 4.1619 -1.4384
Er 4.1619 1.4384 1.2852
Er -1.2852 1.5915 1.4384
Er 4.1619 -1.4384 4.4682
Er 1.4384 1.2852 4.1619
Er 1.2852 4.1619 1.4384
Er 1.5915 -1.4384 7.0386
Er -1.4384 7.0386 1.5915
Er -1.4384 4.4682 4.1619
Si 4.3151 1.4384 -1.4384
Si 1.4384 1.4384 1.4384
Si 1.4384 -1.4384 4.3151
Si -1.4384 4.3151 1.4384
Br 7.1918 1.3829 1.4938
Br 7.1918 -1.3829 4.2596
Br 4.2596 7.1918 -1.3829
Br 4.3705 1.4938 4.3151
Br 4.3151 4.3705 1.4938
Br 1.4938 7.1918 1.3829
Br 7.1363 4.2596 4.3151
Br 1.4938 4.3151 4.3705
Br 1.3829 1.4938 7.1918
Br 4.3151 7.1363 4.2596
Br -1.3829 4.2596 7.1918
Br 4.2596 4.3151 7.1363
```

The 10 most intense peaks (2θ = 10–90°), in order of falling intensity:
| d [Å] | intensity |
| --- | --- |
| 2.877 | 100 |
| 2.034 | 70 |
| 3.075 | 33 |
| 1.287 | 27 |
| 8.137 | 25 |
| 1.661 | 23 |
| 1.174 | 19 |
| 2.453 | 18 |
| 3.322 | 14 |
| 1.566 | 13 |


No. 7
Diffraction record for Er2TaBr. The X-ray diffraction stick pattern is theoretical, not measured: it uses a DFT-relaxed cell (GGA-PBE, Alexandria) and Cu Kα (weighted mean of Kα1 and Kα2).
Peak positions follow from Bragg's law for the DFT cell and can differ from measured ones.

Structural model:
```
4
Lattice="1.6343 0.9436 10.6626 -1.6343 0.9436 10.6626 0.0000 -1.8871 10.6626" Properties=species:S:1:pos:R:3 pbc="T T T"
Er 0.0000 0.0000 2.9380
Er 0.0000 0.0000 29.0497
Ta 0.0000 0.0000 0.0000
Br 0.0000 0.0000 15.9939
```

The 10 most intense peaks (2θ = 10–90°), in order of falling intensity:
| d [Å] | intensity |
| --- | --- |
| 2.787 | 100 |
| 2.820 | 92 |
| 2.120 | 89 |
| 1.393 | 57 |
| 2.666 | 53 |
| 2.028 | 48 |
| 1.634 | 46 |
| 1.294 | 39 |
| 2.589 | 26 |
| 3.554 | 25 |


No. 8
Diffraction record for ErTl2Br5. The X-ray diffraction stick pattern is theoretical, not measured: it uses a DFT-relaxed cell (GGA-PBE, Alexandria) and Cu Kα (weighted mean of Kα1 and Kα2).
Peak positions follow from Bragg's law for the DFT cell and can differ from measured ones.

Structural model:
```
16
Lattice="8.6454 -3.9754 0.0000 8.6454 3.9754 0.0000 -5.6274 0.0000 8.8091" Properties=species:S:1:pos:R:3 pbc="T T T"
Er 5.8317 3.9689 4.4046
Er 8.6454 -3.9689 0.0000
Tl 5.9262 0.2377 0.0239
Tl 3.1125 -0.2377 4.4285
Tl 8.5393 0.2131 4.3756
Tl 5.7256 -0.2131 8.7801
Br 2.4178 0.7588 1.1415
Br 4.4217 2.8112 6.6092
Br 5.6455 1.5001 3.1956
Br -0.3959 -0.7588 5.5461
Br 8.8266 1.5185 1.2183
Br 2.8318 -1.5001 7.6001
Br 12.0565 0.7398 3.2625
Br 6.0129 -1.5185 5.6229
Br 7.2354 -2.8112 2.2047
Br 9.2428 -0.7398 7.6670
```

The 10 most intense peaks (2θ = 10–90°), in order of falling intensity:
| d [Å] | intensity |
| --- | --- |
| 4.101 | 100 |
| 4.145 | 99 |
| 2.471 | 84 |
| 2.951 | 74 |
| 4.405 | 59 |
| 2.319 | 57 |
| 2.499 | 51 |
| 2.881 | 50 |
| 3.975 | 49 |
| 3.096 | 41 |


No. 9
Diffraction record for ErTl3Br6. The X-ray diffraction stick pattern is theoretical, not measured: it uses a DFT-relaxed cell (GGA-PBE, Alexandria) and Cu Kα (weighted mean of Kα1 and Kα2).
Peak positions follow from Bragg's law for the DFT cell and can differ from measured ones.

Structural model:
```
20
Lattice="7.7743 0.0000 0.0000 0.0000 8.5769 0.0000 -7.1500 0.0000 11.3094" Properties=species:S:1:pos:R:3 pbc="T T T"
Er 0.0000 0.0000 0.0000
Er -3.5750 4.2884 5.6547
Tl -3.1722 0.6777 8.6750
Tl 0.4028 3.6108 3.0203
Tl 0.3122 0.0000 5.6547
Tl 3.8871 4.2884 0.0000
Tl 0.2215 4.9661 8.2892
Tl 3.7965 7.8992 2.6344
Br -0.8924 0.5138 2.5928
Br -4.4674 3.7746 8.2476
Br 1.2767 6.2433 0.8745
Br -2.2983 6.6221 6.5292
Br 2.3344 1.4362 0.5155
Br -1.2406 2.8523 6.1702
Br 1.8649 5.7246 5.1392
Br -1.7100 7.1407 10.7939
Br 2.9226 1.9548 4.7802
Br -0.6524 2.3336 10.4350
Br 5.0917 4.8023 3.0619
Br 1.5167 8.0630 8.7166
```

The 10 most intense peaks (2θ = 10–90°), in order of falling intensity:
| d [Å] | intensity |
| --- | --- |
| 4.119 | 100 |
| 3.954 | 98 |
| 2.227 | 67 |
| 2.828 | 64 |
| 2.878 | 61 |
| 2.314 | 51 |
| 2.622 | 40 |
| 4.288 | 37 |
| 3.095 | 36 |
| 3.881 | 36 |


No. 10
Diffraction record for EuFeBr2. The X-ray diffraction stick pattern is theoretical, not measured: it uses a DFT-relaxed cell (GGA-PBE, Alexandria) and Cu Kα (weighted mean of Kα1 and Kα2).
Peak positions follow from Bragg's law for the DFT cell and can differ from measured ones.

Structural model:
```
4
Lattice="1.9676 1.1360 8.9183 -1.9676 1.1360 8.9183 0.0000 -2.2720 8.9183" Properties=species:S:1:pos:R:3 pbc="T T T"
Eu 0.0000 0.0000 0.0000
Fe 0.0000 0.0000 13.3775
Br 0.0000 0.0000 3.0383
Br 0.0000 0.0000 23.7167
```

The 10 most intense peaks (2θ = 10–90°), in order of falling intensity:
| d [Å] | intensity |
| --- | --- |
| 3.303 | 100 |
| 2.387 | 91 |
| 3.381 | 90 |
| 1.968 | 58 |
| 2.104 | 52 |
| 1.641 | 31 |
| 2.973 | 30 |
| 4.459 | 25 |
| 1.518 | 21 |
| 1.186 | 21 |


No. 11
Diffraction record for EuGaBr2. The X-ray diffraction stick pattern is theoretical, not measured: it uses a DFT-relaxed cell (GGA-PBE, Alexandria) and Cu Kα (weighted mean of Kα1 and Kα2).
Peak positions follow from Bragg's law for the DFT cell and can differ from measured ones.

Structural model:
```
4
Lattice="2.2038 1.2723 9.4478 -2.2038 1.2723 9.4478 0.0000 -2.5447 9.4478" Properties=species:S:1:pos:R:3 pbc="T T T"
Eu 0.0000 0.0000 0.0000
Ga 0.0000 0.0000 14.1717
Br 0.0000 0.0000 2.8948
Br 0.0000 0.0000 25.4486
```

The 10 most intense peaks (2θ = 10–90°), in order of falling intensity:
| d [Å] | intensity |
| --- | --- |
| 3.686 | 100 |
| 3.783 | 64 |
| 2.276 | 55 |
| 2.204 | 51 |
| 2.597 | 46 |
| 1.806 | 19 |
| 1.583 | 17 |
| 1.286 | 17 |
| 1.891 | 16 |
| 1.611 | 16 |


No. 12
Diffraction record for LiEuBr2. The X-ray diffraction stick pattern is theoretical, not measured: it uses a DFT-relaxed cell (GGA-PBE, Alexandria) and Cu Kα (weighted mean of Kα1 and Kα2).
Peak positions follow from Bragg's law for the DFT cell and can differ from measured ones.

Structural model:
```
4
Lattice="2.0520 1.1847 8.7541 -2.0520 1.1847 8.7541 0.0000 -2.3695 8.7541" Properties=species:S:1:pos:R:3 pbc="T T T"
Li 0.0000 0.0000 0.0000
Eu 0.0000 0.0000 13.1312
Br 0.0000 0.0000 10.2370
Br 0.0000 0.0000 16.0253
```

The 10 most intense peaks (2θ = 10–90°), in order of falling intensity:
| d [Å] | intensity |
| --- | --- |
| 3.522 | 100 |
| 3.431 | 44 |
| 2.412 | 37 |
| 2.052 | 31 |
| 1.679 | 30 |
| 2.112 | 27 |
| 2.918 | 26 |
| 2.580 | 17 |
| 1.773 | 14 |
| 8.754 | 14 |


No. 13
Diffraction record for Eu3BrO4. The X-ray diffraction stick pattern is theoretical, not measured: it uses a DFT-relaxed cell (GGA-PBE, Alexandria) and Cu Kα (weighted mean of Kα1 and Kα2).
Peak positions follow from Bragg's law for the DFT cell and can differ from measured ones.

Structural model:
```
16
Lattice="2.0870 -6.1371 0.0000 2.0870 6.1371 0.0000 0.0000 0.0000 11.8858" Properties=species:S:1:pos:R:3 pbc="T T T"
Eu 2.0870 4.6398 8.9144
Eu 2.0870 3.9551 1.1782
Eu 2.0870 3.9551 4.7647
Eu 2.0870 -3.9551 7.1211
Eu 2.0870 -3.9551 10.7076
Eu 2.0870 -4.6398 2.9715
Br 2.0870 0.0000 0.0000
Br 2.0870 0.0000 5.9429
O 2.0870 5.3272 2.9715
O 2.0870 3.2585 6.9837
O 2.0870 3.2585 10.8450
O 2.0870 2.4190 2.9715
O 2.0870 -2.4190 8.9144
O 2.0870 -3.2585 1.0408
O 2.0870 -3.2585 4.9021
O 2.0870 -5.3272 8.9144
```

The 10 most intense peaks (2θ = 10–90°), in order of falling intensity:
| d [Å] | intensity |
| --- | --- |
| 2.922 | 100 |
| 3.329 | 87 |
| 2.798 | 77 |
| 1.769 | 49 |
| 1.724 | 34 |
| 2.087 | 33 |
| 3.291 | 31 |
| 3.952 | 29 |
| 1.866 | 25 |
| 6.137 | 25 |